Simulated powder X-ray diffraction pattern
Compound: GaBiS
Radiation: copper Kα
Structure: a cell relaxed with GGA-PBE
Intensities are scaled so that the largest is 100.

Structure:
abc: 6.0227 3.6745 7.8047
angles: 90.00 107.90 90.00
Space group P2/m (No. 10)
Asymmetric unit:
Ga: 0.1105 0.0000 0.3531 (multiplicity 2)
Bi: 0.2600 0.5000 0.1289 (multiplicity 2)
S: 0.2752 0.0000 0.6597 (multiplicity 2)

The 12 most intense peaks (2θ from 10° to 90°), sorted by position:
hkl	d_spacing	2θ (°)	Rel. int.
0 0 1	7.427	11.9	43
1 0 -1	5.413	16.4	51
1 0 1	3.984	22.3	74
1 0 -2	3.674	24.2	64
0 1 1	3.293	27.1	100
1 1 -1	3.040	29.4	51
2 0 0	2.866	31.2	41
1 1 -2	2.598	34.5	71
2 1 -1	2.324	38.7	51
1 1 2	2.204	41.0	35
0 1 3	2.053	44.1	45
0 2 0	1.837	49.6	38

=====

Simulated powder X-ray diffraction pattern
Compound: Ga2BiS4
Radiation: copper Kα
Structure: a cell relaxed with GGA-PBE
Intensities are scaled so that the largest is 100.

Structure:
abc: 7.6911 7.6911 12.2492
angles: 90.00 90.00 90.00
Space group P4/nnc (No. 126, origin choice 2)
Asymmetric unit:
Ga: 0.2500 0.7500 0.0000 (multiplicity 4)
Ga: 0.2500 0.7500 0.2500 (multiplicity 4)
Bi: 0.2500 0.2500 0.1210 (multiplicity 4)
S: 0.0877 0.5933 0.6251 (multiplicity 16)

The 12 most intense peaks (2θ from 10° to 90°), sorted by position:
hkl	d_spacing	2θ (°)	Rel. int.
1 0 1	6.514	13.6	100
2 0 0	3.846	23.1	64
1 0 3	3.606	24.7	31
2 1 1	3.311	26.9	40
2 1 2	2.999	29.8	17
2 2 0	2.719	32.9	43
1 1 4	2.668	33.6	57
2 1 3	2.631	34.1	27
3 1 4	1.905	47.8	76
4 2 0	1.720	53.3	24
5 1 4	1.353	69.5	20
5 3 4	1.211	79.0	15

=====

Simulated powder X-ray diffraction pattern
Compound: GaBi2S6
Radiation: copper Kα
Structure: a cell relaxed with GGA-PBE
Intensities are scaled so that the largest is 100.

Structure:
abc: 6.1842 6.1842 11.9520
angles: 90.00 90.00 90.00
Space group P4_2/mnm (No. 136)
Asymmetric unit:
Ga: 0.0000 0.0000 0.0000 (multiplicity 2)
Bi: 0.0000 0.0000 0.3336 (multiplicity 4)
S: 0.1857 0.1857 0.1517 (multiplicity 8)
S: 0.2149 0.2149 0.5000 (multiplicity 4)

The 12 most intense peaks (2θ from 10° to 90°), sorted by position:
hkl	d_spacing	2θ (°)	Rel. int.
1 0 1	5.493	16.1	16
1 1 0	4.373	20.3	100
1 0 3	3.349	26.6	70
2 0 0	3.092	28.9	18
2 1 3	2.272	39.7	81
2 2 0	2.186	41.3	23
3 1 0	1.956	46.4	17
3 0 3	1.831	49.8	30
1 1 6	1.813	50.3	18
3 2 3	1.575	58.6	13
2 2 6	1.473	63.1	13
4 1 3	1.404	66.6	15